For Rb2Tl7Cd, a DFT-relaxed cell (GGA-PBE, Alexandria) gives the calculated powder diffraction line list in this record (Cu Kα X-rays).
No peak broadening, texture or thermal motion is included.

Crystal structure
a = 5.3288 Å, b = 5.3288 Å, c = 12.8642 Å
α = 90.00°, β = 90.00°, γ = 90.00°
Sites, in units of the cell vectors:
Rb 0.0000 0.5000 0.2469
Rb 0.5000 0.0000 0.7531
Tl 0.0000 0.0000 0.0000
Tl 0.0000 0.0000 0.5000
Tl 0.0000 0.5000 0.6360
Tl 0.0000 0.5000 0.8750
Tl 0.5000 0.0000 0.1250
Tl 0.5000 0.0000 0.3640
Tl 0.5000 0.5000 0.5000
Cd 0.5000 0.5000 0.0000

Peak list (6 most intense, 2θ from 10° to 90°, sorted by position)
2θ (°)	I_rel
18.02	52.1
26.68	55.6
27.43	100.0
33.64	94.3
36.74	92.0
62.19	40.7

***

For Rb2Tl5Cd4, a DFT-relaxed cell (GGA-PBE, Alexandria) gives the calculated powder diffraction line list in this record (Cu Kα X-rays).
No peak broadening, texture or thermal motion is included.

Crystal structure
a = 6.8652 Å, b = 7.9432 Å, c = 7.9604 Å
α = 77.84°, β = 65.30°, γ = 65.17°
Sites, in units of the cell vectors:
Rb 0.1500 0.3109 0.3103
Rb 0.8500 0.6891 0.6897
Tl 0.2324 0.8468 0.1975
Tl 0.2353 0.1962 0.8478
Tl 0.5000 0.5000 0.5000
Tl 0.7647 0.8038 0.1522
Tl 0.7676 0.1532 0.8025
Cd 0.3086 0.5930 0.9071
Cd 0.3097 0.9073 0.5926
Cd 0.6903 0.0927 0.4074
Cd 0.6914 0.4070 0.0929

Peak list (6 most intense, 2θ from 10° to 90°, sorted by position)
2θ (°)	I_rel
28.13	100.0
29.01	42.0
30.91	34.3
31.49	38.4
34.40	56.7
34.66	55.2

***

For Rb2Tl7Cd, a DFT-relaxed cell (GGA-PBE, Alexandria) gives the calculated powder diffraction line list in this record (Cu Kα X-rays).
No peak broadening, texture or thermal motion is included.

Crystal structure
a = 8.4511 Å, b = 8.4511 Å, c = 8.4511 Å
α = 60.00°, β = 60.00°, γ = 60.00°
Sites, in units of the cell vectors:
Rb 0.2500 0.2500 0.2500
Rb 0.7500 0.7500 0.7500
Tl 0.0000 0.0000 0.0000
Tl 0.2547 0.2547 0.7453
Tl 0.2547 0.7453 0.2547
Tl 0.2547 0.7453 0.7453
Tl 0.7453 0.2547 0.2547
Tl 0.7453 0.2547 0.7453
Tl 0.7453 0.7453 0.2547
Cd 0.5000 0.5000 0.5000

Peak list (6 most intense, 2θ from 10° to 90°, sorted by position)
2θ (°)	I_rel
14.82	53.4
25.82	75.5
29.90	100.0
42.80	75.9
50.66	36.6
70.47	34.8